[1]
Structure and computed powder XRD pattern of Na2Tl3VSe6 (DFT lattice parameters and positions (PBE); Cu Kα (weighted mean of Kα1 and Kα2)).
Intensities are scaled so that the largest is 100.

Atomic structure:
Cell lengths 7.360, 7.360, 7.173 Å; angles 99.94, 99.94, 120.48 degrees
Element x y z (fractional)
Na: 0.169 0.831 0.000
Na: 0.831 0.169 0.000
Tl: 0.000 0.000 0.500
Tl: 0.346 0.654 0.500
Tl: 0.654 0.346 0.500
V: 0.500 0.500 0.000
Se: 0.148 0.431 0.786
Se: 0.276 0.276 0.204
Se: 0.431 0.148 0.786
Se: 0.569 0.852 0.214
Se: 0.724 0.724 0.796
Se: 0.852 0.569 0.214

Main lines, low angle first (10° ≤ 2θ ≤ 90°):
2θ/deg  I/Imax
13.2  26
24.6  25
24.7  11
30.1  100
32.9  19
33.2  11
42.8  23
43.4  21


[2]
Structure and computed powder XRD pattern of PmPuCuSe4 (DFT lattice parameters and positions (PBE); Cu Kα (weighted mean of Kα1 and Kα2)).
Intensities are scaled so that the largest is 100.

Atomic structure:
Cell lengths 7.117, 5.804, 8.284 Å; angles 90.00, 106.68, 90.00 degrees
Element x y z (fractional)
Pm: 0.236 0.250 0.432
Pm: 0.764 0.750 0.568
Pu: 0.232 0.250 0.937
Pu: 0.768 0.750 0.063
Cu: 0.240 0.750 0.184
Cu: 0.760 0.250 0.816
Se: 0.072 0.750 0.395
Se: 0.076 0.750 0.890
Se: 0.483 0.509 0.747
Se: 0.483 0.991 0.747
Se: 0.517 0.009 0.253
Se: 0.517 0.491 0.253
Se: 0.924 0.250 0.110
Se: 0.928 0.250 0.605

Main lines, low angle first (10° ≤ 2θ ≤ 90°):
2θ/deg  I/Imax
20.1  87
29.1  84
29.2  87
33.0  74
33.1  69
38.4  100
40.8  66
42.7  94


[3]
Structure and computed powder XRD pattern of KB (DFT lattice parameters and positions (PBE); Cu Kα (weighted mean of Kα1 and Kα2)).
Intensities are scaled so that the largest is 100.

Atomic structure:
Cell lengths 12.910, 12.910, 3.188 Å; angles 90.00, 90.00, 90.00 degrees
Element x y z (fractional)
K: 0.000 0.355 0.000
K: 0.000 0.645 0.000
K: 0.336 0.336 0.500
K: 0.336 0.664 0.500
K: 0.355 0.000 0.000
K: 0.645 0.000 0.000
K: 0.664 0.336 0.500
K: 0.664 0.664 0.500
B: 0.175 0.500 0.500
B: 0.182 0.500 0.000
B: 0.500 0.175 0.500
B: 0.500 0.182 0.000
B: 0.500 0.818 0.000
B: 0.500 0.825 0.500
B: 0.818 0.500 0.000
B: 0.825 0.500 0.500

Main lines, low angle first (10° ≤ 2θ ≤ 90°):
2θ/deg  I/Imax
20.6  100
29.4  96
29.7  26
31.3  20
32.1  25
37.8  22
40.4  30
42.0  29


Repeat the third record exactly.
Structure and computed powder XRD pattern of KB (DFT lattice parameters and positions (PBE); Cu Kα (weighted mean of Kα1 and Kα2)).
Intensities are scaled so that the largest is 100.

Atomic structure:
Cell lengths 12.910, 12.910, 3.188 Å; angles 90.00, 90.00, 90.00 degrees
Element x y z (fractional)
K: 0.000 0.355 0.000
K: 0.000 0.645 0.000
K: 0.336 0.336 0.500
K: 0.336 0.664 0.500
K: 0.355 0.000 0.000
K: 0.645 0.000 0.000
K: 0.664 0.336 0.500
K: 0.664 0.664 0.500
B: 0.175 0.500 0.500
B: 0.182 0.500 0.000
B: 0.500 0.175 0.500
B: 0.500 0.182 0.000
B: 0.500 0.818 0.000
B: 0.500 0.825 0.500
B: 0.818 0.500 0.000
B: 0.825 0.500 0.500

Main lines, low angle first (10° ≤ 2θ ≤ 90°):
2θ/deg  I/Imax
20.6  100
29.4  96
29.7  26
31.3  20
32.1  25
37.8  22
40.4  30
42.0  29